AlZnW: calculated X-ray powder pattern (Cu Kα), based on a DFT-relaxed cell (PBE, Alexandria).
Lines closer than 0.1° are merged.

Cell and atoms:
Lattice parameters (Å, degrees): 4.3811 4.3811 5.4241 90.00 90.00 120.00
Element x y z (fractional)
Al  0.3333  0.6667  0.0000
Al  0.6667  0.3333  0.0000
Zn  0.3333  0.6667  0.5000
Zn  0.6667  0.3333  0.5000
W  0.0000  0.0000  0.2410
W  0.0000  0.0000  0.7590

Main lines, sorted by position (10° ≤ 2θ ≤ 90°):
- (1 0 0), 23.45 deg, I 689
- (1 0 2), 40.90 deg, I 1000
- (1 1 0), 41.21 deg, I 727
- (2 0 2), 59.46 deg, I 333
- (2 1 2), 74.91 deg, I 337
- (1 1 4), 83.92 deg, I 178